BaLa2Cl8: simulated powder XRD pattern (Cu Kα (λ = 1.5418 Å)), based on a crystal structure in Alexandria, relaxed with PBE.
No peak broadening, texture or thermal motion is included.

Cell and atoms:
a = 18.011 Å, b = 10.315 Å, c = 10.530 Å
α = 90.00°, β = 119.24°, γ = 90.00°
Space group C2/c (No. 15)
Asymmetric unit:
Ba (0.000, 0.023, 0.250) [4 per cell]
La (0.239, 0.230, 0.768) [8 per cell]
Cl (0.081, 0.123, 0.579) [8 per cell]
Cl (0.145, 0.221, 0.319) [8 per cell]
Cl (0.152, 0.184, 0.943) [8 per cell]
Cl (0.183, 0.483, 0.675) [8 per cell]

The 10 most intense peaks (2θ from 10° to 90°), in order of rising 2θ:
2θ/deg  intensity  (hkl)
10.26  100  1 1 0
11.26  50  2 0 0
17.17  31  0 2 0
19.32  76  0 0 2
20.60  93  2 2 0
21.41  33  4 0 -2
32.04  61  2 2 2
34.72  45  6 2 -2
36.66  25  4 0 2
40.11  36  0 4 2

---

Sm6AlCd: simulated powder XRD pattern (Cu Kα (λ = 1.5418 Å)), based on a crystal structure in Alexandria, relaxed with PBE.
No peak broadening, texture or thermal motion is included.

Cell and atoms:
a = 4.885 Å, b = 4.885 Å, c = 9.769 Å
α = 90.00°, β = 90.00°, γ = 90.00°
Space group P4/mmm (No. 123)
Asymmetric unit:
Sm (0.000, 0.000, 0.000) [1 per cell]
Sm (0.000, 0.000, 0.500) [1 per cell]
Sm (0.000, 0.500, 0.243) [4 per cell]
Al (0.500, 0.500, 0.000) [1 per cell]
Cd (0.500, 0.500, 0.500) [1 per cell]

The 10 most intense peaks (2θ from 10° to 90°), in order of rising 2θ:
2θ/deg  intensity  (hkl)
18.16  7  1 0 0
25.79  6  1 1 0
31.73  100  1 1 2
36.80  50  2 0 0
53.02  35  2 2 0
63.12  41  3 1 2
66.28  12  2 2 4
78.28  5  4 0 0
86.92  17  3 3 2
89.78  16  4 2 0

---

Er7Bi3C2: simulated powder XRD pattern (Cu Kα (λ = 1.5418 Å)), based on a crystal structure in Alexandria, relaxed with PBE.
No peak broadening, texture or thermal motion is included.

Cell and atoms:
a = 4.869 Å, b = 24.928 Å, c = 4.813 Å
α = 90.00°, β = 90.00°, γ = 90.00°
Space group Cmmm (No. 65)
Asymmetric unit:
Er (0.000, 0.000, 0.000) [2 per cell]
Er (0.000, 0.096, 0.500) [4 per cell]
Er (0.000, 0.195, 0.000) [4 per cell]
Er (0.000, 0.404, 0.000) [4 per cell]
Bi (0.000, 0.310, 0.500) [4 per cell]
Bi (0.000, 0.500, 0.500) [2 per cell]
C (0.000, 0.099, 0.000) [4 per cell]

The 10 most intense peaks (2θ from 10° to 90°), in order of rising 2θ:
2θ/deg  intensity  (hkl)
31.71  100  1 5 1
36.03  17  0 10 0
36.92  18  2 0 0
37.37  18  0 0 2
52.54  12  2 10 0
52.88  11  0 10 2
53.54  13  2 0 2
63.28  14  3 5 1
63.88  14  1 5 3
66.24  12  2 10 2